Calculated XRD peak list of Mg2AlGe2Pt5 for CuKα, from a GGA-PBE-relaxed structure.
Lines closer than 0.1° are merged.

Top 8 peaks for 5 to 70 degrees two-theta, in order of rising 2θ:
hkl 2 2 0, 25.20 deg, I 427; hkl 0 0 1, 26.88 deg, I 666; hkl 4 0 0, 35.93 deg, I 343; hkl 2 2 1, 37.15 deg, I 611; hkl 3 3 0, 38.19 deg, I 763; hkl 3 1 1, 39.38 deg, I 1000; hkl 4 0 1, 45.44 deg, I 820; hkl 3 3 1, 47.32 deg, I 384

Structural model:
Lattice parameters (Å, degrees): 9.998 9.998 3.316 90.00 90.00 90.00
Space group P4/mbm (No. 127)
One atom of each set of equivalent atoms:
Mg 0.168 0.332 0.000 x4
Al 0.000 0.000 0.000 x2
Ge 0.140 0.640 0.000 x4
Pt 0.000 0.500 0.500 x2
Pt 0.022 0.796 0.500 x8